Structure and calculated XRD peak list of NpCd11 (a crystal structure in OQMD, relaxed with PBE; Cu Kα X-rays).
Neutral-atom scattering factors, no anomalous dispersion.

Principal peaks in the range 2θ = 10–90°, sorted by position:
| d_spacing | I_rel | index |
| --- | --- | --- |
| 2.943 | 33 | 3 1 0 |
| 2.806 | 100 | 3 1 1 |
| 2.687 | 76 | 2 2 2 |
| 2.581 | 41 | 3 2 0 |
| 2.257 | 60 | 4 1 0 |
| 2.194 | 46 | 3 3 0 |
| 2.031 | 45 | 4 2 1 |
| 1.212 | 23 | 7 3 1 |

Atomic structure:
Cell lengths 9.3068, 9.3068, 9.3068 Å; angles 90.00, 90.00, 90.00 degrees
Space group Pm-3m (No. 221)
Unique sites:
Np 0.0000 0.0000 0.5000
Cd 0.0000 0.3441 0.3441
Cd 0.1567 0.1567 0.1567
Cd 0.2640 0.2640 0.5000
Cd 0.5000 0.5000 0.5000

Structure and calculated XRD peak list of NpZnCd (a crystal structure in OQMD, relaxed with PBE; Cu Kα X-rays).
Neutral-atom scattering factors, no anomalous dispersion.

Principal peaks in the range 2θ = 10–90°, sorted by position:
| d_spacing | I_rel | index |
| --- | --- | --- |
| 3.856 | 25 | 1 1 1 |
| 3.339 | 54 | 2 0 0 |
| 2.361 | 100 | 2 2 0 |
| 2.014 | 14 | 3 1 1 |
| 1.928 | 16 | 2 2 2 |
| 1.670 | 17 | 4 0 0 |
| 1.493 | 21 | 4 2 0 |
| 1.363 | 35 | 4 2 2 |

Atomic structure:
Cell lengths 6.6786, 6.6786, 6.6786 Å; angles 90.00, 90.00, 90.00 degrees
Space group F-43m (No. 216)
Unique sites:
Np 0.0000 0.0000 0.0000
Zn 0.2500 0.2500 0.7500
Cd 0.0000 0.0000 0.5000

Structure and calculated XRD peak list of CdO2 (a crystal structure in OQMD, relaxed with PBE; Cu Kα X-rays).
Neutral-atom scattering factors, no anomalous dispersion.

Principal peaks in the range 2θ = 10–90°, sorted by position:
| d_spacing | I_rel | index |
| --- | --- | --- |
| 5.339 | 100 | 1 1 1 |
| 3.270 | 61 | 2 2 0 |
| 2.788 | 25 | 3 1 1 |
| 2.122 | 25 | 3 3 1 |
| 1.888 | 25 | 4 2 2 |
| 1.635 | 12 | 4 4 0 |
| 1.563 | 18 | 5 3 1 |
| 1.236 | 12 | 6 4 2 |

Atomic structure:
Cell lengths 9.2482, 9.2482, 9.2482 Å; angles 90.00, 90.00, 90.00 degrees
Space group Fd-3m (No. 227, origin choice 2)
Unique sites:
Cd 0.1250 0.1250 0.1250
O 0.0000 0.0000 0.0000

Structure and calculated XRD peak list of Cd2P6O17 (a crystal structure in OQMD, relaxed with PBE; Cu Kα X-rays).
Neutral-atom scattering factors, no anomalous dispersion.

Principal peaks in the range 2θ = 10–90°, sorted by position:
| d_spacing | I_rel | index |
| --- | --- | --- |
| 6.571 | 46 | 0 1 1 |
| 4.772 | 31 | 1 1 0 |
| 4.377 | 100 | 1 2 -1 |
| 3.821 | 69 | 0 4 1 |
| 3.460 | 29 | 0 1 2 |
| 3.430 | 58 | 1 1 1 |
| 3.358 | 67 | 1 4 -1 |
| 3.045 | 41 | 0 3 2 |

Atomic structure:
Cell lengths 5.3138, 18.1373, 7.5734 Å; angles 90.00, 111.43, 90.00 degrees
Space group P2_1/c (No. 14)
Unique sites:
Cd 0.0922 0.0738 0.3561
P 0.2654 0.6708 0.5788
P 0.2768 0.6783 0.9751
P 0.4970 0.5306 0.6936
O 0.0294 0.6737 0.0233
O 0.0384 0.6435 0.4133
O 0.1695 0.6891 0.7467
O 0.2309 0.5157 0.7096
O 0.2416 0.0094 0.6520
O 0.4168 0.7413 0.5443
O 0.4792 0.1184 0.8416
O 0.4918 0.6220 0.0401
O 0.5000 0.0000 0.0000

Structure and calculated XRD peak list of Cd3P2O8 (a crystal structure in OQMD, relaxed with PBE; Cu Kα X-rays).
Neutral-atom scattering factors, no anomalous dispersion.

Principal peaks in the range 2θ = 10–90°, sorted by position:
| d_spacing | I_rel | index |
| --- | --- | --- |
| 3.886 | 34 | 4 0 0 |
| 3.807 | 28 | 0 0 2 |
| 3.252 | 100 | 1 3 1 |
| 2.957 | 30 | 3 1 2 |
| 2.936 | 29 | 4 2 1 |
| 2.799 | 55 | 3 3 1 |
| 2.719 | 38 | 4 0 2 |
| 1.847 | 31 | 0 6 0 |

Atomic structure:
Cell lengths 15.5432, 11.0916, 7.6144 Å; angles 90.00, 90.00, 90.00 degrees
Space group Cmce (No. 64)
Unique sites:
Cd 0.1065 0.0000 0.0000
Cd 0.1420 0.1745 0.4404
P 0.0000 0.1854 0.6956
P 0.2500 0.0665 0.7500
O 0.0000 0.1056 0.8658
O 0.0000 0.1166 0.5209
O 0.0835 0.2359 0.1934
O 0.1674 0.0095 0.2769
O 0.2311 0.1432 0.9170